The following is a theoretical X-ray powder pattern of LiV2OsO8. It was derived from a crystal structure in Alexandria, relaxed with GGA+U, using CuKα.
Lines closer than 0.1° are merged.

Peak list (6 most intense, 10° ≤ 2θ ≤ 80°, by angle)
- 2θ 16.16, rel. 100
- 2θ 17.72, rel. 62
- 2θ 24.07, rel. 70
- 2θ 30.95, rel. 64
- 2θ 35.10, rel. 71
- 2θ 37.39, rel. 35

Cell and atoms:
a b c (Å): 5.7785 5.7785 5.4852
angles (deg): 90.00 90.00 120.00
Space group P-3m1 (No. 164)
Unique sites:
Li 0.0000 0.0000 0.0000 [1 per cell]
V 0.3333 0.6667 0.6409 [2 per cell]
Os 0.0000 0.0000 0.5000 [1 per cell]
O 0.1562 0.3123 0.7185 [6 per cell]
O 0.3333 0.6667 0.3469 [2 per cell]